No. 1
The following is a calculated PXRD pattern of NaSbO3. It was derived from a crystal structure in the Materials Project, relaxed with PBE, using Cu Ka.
No peak broadening, texture or thermal motion is included.

Crystal structure
```
20
Lattice="5.5359 0.0000 0.0000 0.0000 7.7970 0.0000 0.0000 0.0000 5.4765" Properties=species:S:1:pos:R:3 pbc="T T T"
Na 0.2077 1.9492 0.0397
Na 2.5602 5.8477 2.7780
Na 2.9757 1.9492 2.6985
Na 5.3282 5.8477 5.4367
Sb 0.0000 0.0000 2.7382
Sb 0.0000 3.8985 2.7382
Sb 2.7680 0.0000 0.0000
Sb 2.7680 3.8985 0.0000
O 0.1372 5.8477 2.2521
O 1.1328 4.2543 4.3695
O 1.1328 7.4412 4.3695
O 1.6352 0.3558 1.6313
O 1.6352 3.5427 1.6313
O 2.6308 1.9492 4.9904
O 2.9051 5.8477 0.4861
O 3.9008 4.2543 3.8452
O 3.9008 7.4412 3.8452
O 4.4031 0.3558 1.1069
O 4.4031 3.5427 1.1069
O 5.3988 1.9492 3.2243
```

Top 8 peaks for 2θ = 10–90°, in order of falling intensity:
2θ (°), I/Imax
22.8, 100
32.5, 75
46.6, 36
52.5, 28
57.8, 24
32.3, 20
58.2, 19
32.7, 18


No. 2
The following is a calculated PXRD pattern of YMg2. It was derived from a crystal structure in the Materials Project, relaxed with PBE, using Cu Ka.
No peak broadening, texture or thermal motion is included.

Crystal structure
```
6
Lattice="6.5358 -1.6933 0.0000 6.5358 1.6933 0.0000 -1.9316 0.0000 7.0900" Properties=species:S:1:pos:R:3 pbc="T T T"
Y -0.2789 0.0000 1.9440
Y 11.4190 0.0000 5.1460
Mg 3.2894 0.0000 2.6333
Mg 2.5825 0.0000 6.8020
Mg 8.5576 0.0000 0.2881
Mg 7.8507 0.0000 4.4567
```

Top 8 peaks for 2θ = 10–90°, in order of falling intensity:
2θ (°), I/Imax
34.0, 100
36.1, 73
14.0, 66
32.7, 50
27.3, 38
32.1, 36
25.4, 26
25.1, 22


No. 3
The following is a calculated PXRD pattern of InI4. It was derived from a crystal structure in the Materials Project, relaxed with PBE, using Cu Ka.
No peak broadening, texture or thermal motion is included.

Crystal structure
```
30
Lattice="0.0000 10.2158 10.2158 10.2158 0.0000 10.2158 10.2158 10.2158 0.0000" Properties=species:S:1:pos:R:3 pbc="T T T"
In 10.2158 10.2158 5.1079
In 10.2158 5.1079 10.2158
In 15.3237 10.2158 10.2158
In 5.1079 10.2158 10.2158
In 10.2158 15.3237 10.2158
In 10.2158 10.2158 15.3237
I 10.2158 7.9572 3.5250
I 16.9066 10.2158 7.9572
I 12.4744 3.5250 10.2158
I 12.4744 10.2158 6.6908
I 10.2158 6.6908 7.9572
I 13.7408 7.9572 10.2158
I 10.2158 12.4744 3.5250
I 7.9572 3.5250 10.2158
I 16.9066 10.2158 12.4744
I 7.9572 10.2158 6.6908
I 13.7408 12.4744 10.2158
I 10.2158 6.6908 12.4744
I 10.2158 13.7408 7.9572
I 6.6908 7.9572 10.2158
I 12.4744 10.2158 13.7408
I 3.5250 10.2158 7.9572
I 12.4744 16.9066 10.2158
I 10.2158 7.9572 16.9066
I 6.6908 12.4744 10.2158
I 10.2158 13.7408 12.4744
I 7.9572 10.2158 13.7408
I 7.9572 16.9066 10.2158
I 3.5250 10.2158 12.4744
I 10.2158 12.4744 16.9066
```

Top 8 peaks for 2θ = 10–90°, in order of falling intensity:
2θ (°), I/Imax
25.8, 100
26.2, 46
12.3, 39
15.0, 32
46.2, 18
30.3, 18
41.5, 16
42.2, 16


No. 4
The following is a calculated PXRD pattern of TbAl10Ru2. It was derived from a crystal structure in the Materials Project, relaxed with PBE, using Cu Ka.
No peak broadening, texture or thermal motion is included.

Crystal structure
```
26
Lattice="4.5524 -5.1332 0.0000 4.5524 5.1332 0.0000 0.0000 0.0000 9.1572" Properties=species:S:1:pos:R:3 pbc="T T T"
Tb 4.5524 3.8381 6.8679
Tb 4.5524 -3.8381 2.2893
Al 2.5168 1.4119 6.8679
Al 4.5524 3.5254 0.9117
Al 4.5524 3.5254 3.6669
Al 3.1972 1.3216 2.2893
Al 2.0703 0.0000 0.0000
Al 2.0703 0.0000 4.5786
Al 4.5524 1.2678 5.0297
Al 4.5524 1.2678 8.7061
Al 2.5168 -1.4119 2.2893
Al 3.1972 -1.3216 6.8679
Al 5.9075 1.3216 2.2893
Al 6.5880 1.4119 6.8679
Al 4.5524 -1.2678 0.4511
Al 4.5524 -1.2678 4.1275
Al 7.0344 0.0000 0.0000
Al 7.0344 0.0000 4.5786
Al 5.9075 -1.3216 6.8679
Al 4.5524 -3.5254 5.4903
Al 4.5524 -3.5254 8.2455
Al 6.5880 -1.4119 2.2893
Ru 2.2762 2.5666 0.0000
Ru 2.2762 2.5666 4.5786
Ru 2.2762 -2.5666 0.0000
Ru 2.2762 -2.5666 4.5786
```

Top 8 peaks for 2θ = 10–90°, in order of falling intensity:
2θ (°), I/Imax
40.3, 100
39.6, 74
27.6, 55
17.3, 36
27.9, 33
39.4, 32
34.2, 32
26.1, 32


No. 5
The following is a calculated PXRD pattern of Tm2IrOs. It was derived from a crystal structure in the Materials Project, relaxed with PBE, using Cu Ka.
No peak broadening, texture or thermal motion is included.

Crystal structure
```
4
Lattice="0.0000 3.3716 3.3716 3.3716 0.0000 3.3716 3.3716 3.3716 0.0000" Properties=species:S:1:pos:R:3 pbc="T T T"
Tm 1.6858 1.6858 1.6858
Tm 5.0575 5.0575 5.0575
Ir 0.0000 0.0000 0.0000
Os 3.3716 3.3716 3.3716
```

Top 4 peaks for 2θ = 10–90°, in order of falling intensity:
2θ (°), I/Imax
37.7, 100
68.1, 36
54.4, 18
80.6, 11


No. 6
The following is a calculated PXRD pattern of BaCaNdNbO6. It was derived from a crystal structure in the Materials Project, relaxed with PBE, using Cu Ka.
No peak broadening, texture or thermal motion is included.

Crystal structure
```
10
Lattice="0.0000 4.3186 4.3186 4.3186 0.0000 4.3186 4.3186 4.3186 0.0000" Properties=species:S:1:pos:R:3 pbc="T T T"
Ba 0.0000 0.0000 0.0000
Ca 4.3186 4.3186 4.3186
Nd 2.1593 2.1593 2.1593
Nb 6.4779 6.4779 6.4779
O 6.4779 6.4779 4.4664
O 6.4779 4.4664 6.4779
O 8.4894 6.4779 6.4779
O 4.4664 6.4779 6.4779
O 6.4779 8.4894 6.4779
O 6.4779 6.4779 8.4894
```

Top 8 peaks for 2θ = 10–90°, in order of falling intensity:
2θ (°), I/Imax
29.2, 100
51.9, 40
41.8, 33
83.8, 21
60.7, 20
68.7, 18
17.8, 13
34.4, 9